This entry pairs a crystal structure of Pu3Si6Pt20 with its computed powder diffraction line list. Radiation: Cu Kα X-rays. Structure: a DFT-relaxed cell (PBE, Alexandria).
No peak broadening, texture or thermal motion is included.

Structural model:
```
data_Pu3Si6Pt20
_chemical_formula_sum 'Pu3 Si6 Pt20'
_space_group_name_H-M_alt 'P 1'
_space_group_IT_number 1
_cell_length_a 8.777
_cell_length_b 8.777
_cell_length_c 8.777
_cell_angle_alpha 60.00
_cell_angle_beta 60.00
_cell_angle_gamma 60.00
loop_
_space_group_symop_operation_xyz
'x,y,z'
loop_
_atom_site_label
_atom_site_fract_x
_atom_site_fract_y
_atom_site_fract_z
Pu1 0.000 0.000 0.000
Pu2 0.250 0.250 0.250
Pu3 0.750 0.750 0.750
Si1 0.267 0.267 0.733
Si2 0.267 0.733 0.267
Si3 0.267 0.733 0.733
Si4 0.733 0.267 0.267
Si5 0.733 0.267 0.733
Si6 0.733 0.733 0.267
Pt1 0.000 0.000 0.346
Pt2 0.000 0.000 0.654
Pt3 0.000 0.346 0.000
Pt4 0.000 0.346 0.654
Pt5 0.000 0.654 0.000
Pt6 0.000 0.654 0.346
Pt7 0.154 0.615 0.615
Pt8 0.346 0.000 0.000
Pt9 0.346 0.000 0.654
Pt10 0.346 0.654 0.000
Pt11 0.385 0.385 0.385
Pt12 0.385 0.385 0.846
Pt13 0.385 0.846 0.385
Pt14 0.615 0.154 0.615
Pt15 0.615 0.615 0.154
Pt16 0.615 0.615 0.615
Pt17 0.654 0.000 0.000
Pt18 0.654 0.000 0.346
Pt19 0.654 0.346 0.000
Pt20 0.846 0.385 0.385
```

The 10 most intense peaks (2θ = 10–90°), by angle:
2θ (°)  d (Å)  I/Imax
32.25  2.776  24.0
35.43  2.534  31.4
37.65  2.389  100.0
41.14  2.194  26.0
43.11  2.098  25.4
43.76  2.069  9.6
63.60  1.463  30.3
65.08  1.433  15.2
74.96  1.267  18.4
76.33  1.248  10.1